Record 1
The following is a computed XRD peak list of Pm2Y2Cd. It was derived from a PBE-relaxed structure, using Cu Kα, 1.54184 Å.

```
10
Lattice="-2.5983 2.5983 12.3188 2.5983 -2.5983 12.3188 2.5983 2.5983 -12.3188" Properties=species:S:1:pos:R:3 pbc="T T T"
Pm 2.5983 1.2992 -5.0146
Pm 0.0000 1.2992 1.1448
Pm 2.5983 1.2992 11.1740
Pm 0.0000 1.2992 17.3334
Y 2.5983 1.2992 -1.3402
Y 0.0000 1.2992 4.8192
Y 2.5983 1.2992 7.4996
Y 0.0000 1.2992 13.6590
Cd 2.5983 -1.2992 9.2391
Cd 0.0000 3.8975 3.0797
```

The 10 most intense peaks (2θ from 10° to 90°), sorted by position:
2theta	I/Imax
17.44	22
25.29	16
30.68	8
32.70	100
34.52	47
44.09	10
49.62	17
57.18	17
60.70	33
68.53	9

***

Record 2
The following is a computed XRD peak list of LiLa4AlO8. It was derived from a PBE-relaxed structure, using Cu Kα, 1.54184 Å.

```
14
Lattice="2.6882 -6.3436 0.0000 2.6882 6.3436 0.0000 0.0000 0.0000 5.3960" Properties=species:S:1:pos:R:3 pbc="T T T"
Li 0.0000 0.0000 0.0000
La 2.6882 4.6155 2.6980
La 2.6882 1.7319 0.0000
La 2.6882 -1.7319 0.0000
La 2.6882 -4.6155 2.6980
Al 2.6882 0.0000 2.6980
O 2.6882 4.0446 0.0000
O 1.3813 0.0000 1.4075
O 1.3813 0.0000 3.9885
O 2.6882 2.1565 2.6980
O 2.6882 -2.1565 2.6980
O 3.9951 0.0000 1.4075
O 3.9951 0.0000 3.9885
O 2.6882 -4.0446 0.0000
```

The 10 most intense peaks (2θ from 10° to 90°), sorted by position:
2theta	I/Imax
24.40	92
28.13	37
31.61	100
33.21	41
33.33	40
42.81	31
44.11	72
47.76	42
56.21	25
56.35	22

***

Record 3
The following is a computed XRD peak list of Zn2FeCu. It was derived from a PBE-relaxed structure, using Cu Kα, 1.54184 Å.

```
4
Lattice="2.6615 0.0000 0.0000 0.0000 4.3256 0.0000 0.0000 0.0000 4.4676" Properties=species:S:1:pos:R:3 pbc="T T T"
Zn 0.0000 0.0000 0.0000
Zn 0.0000 2.1628 1.7357
Fe 1.3308 0.0000 2.2330
Cu 1.3308 2.1628 3.9178
```

The 10 most intense peaks (2θ from 10° to 90°), sorted by position:
2theta	I/Imax
39.41	11
40.38	22
41.76	36
44.84	100
45.71	24
59.49	13
72.77	10
78.41	17
85.72	8
87.59	12

***

Record 4
The following is a computed XRD peak list of TbEr3Al2. It was derived from a PBE-relaxed structure, using Cu Kα, 1.54184 Å.

```
12
Lattice="5.0661 0.0000 0.0000 0.0000 9.4185 0.0000 0.0000 0.0000 6.5197" Properties=species:S:1:pos:R:3 pbc="T T T"
Tb 0.0000 0.3850 0.0000
Tb 0.0000 9.0335 3.2598
Er 0.0000 3.0466 4.2621
Er 0.0000 6.3719 1.0023
Er 2.5331 1.6978 1.8655
Er 2.5331 4.3120 6.1318
Er 2.5331 5.1065 2.8719
Er 2.5331 7.7207 5.1254
Al 0.0000 3.3404 1.1539
Al 0.0000 6.0781 4.4138
Al 2.5331 1.3789 4.9666
Al 2.5331 8.0396 1.7068
```

The 10 most intense peaks (2θ from 10° to 90°), sorted by position:
2theta	I/Imax
23.30	32
24.17	58
29.29	49
32.67	45
33.43	47
33.58	100
34.06	92
35.44	60
49.51	32
63.11	28

***

Record 5
The following is a computed XRD peak list of Ba2HgSbP. It was derived from a PBE-relaxed structure, using Cu Kα, 1.54184 Å.

```
10
Lattice="8.1089 0.0000 0.0000 0.0000 4.7405 0.0000 -2.9057 0.0000 9.5607" Properties=species:S:1:pos:R:3 pbc="T T T"
Ba 0.3770 1.1851 3.7608
Ba -0.9923 1.1851 9.2738
Ba 6.1954 3.5554 0.2870
Ba 4.8261 3.5554 5.7999
Hg 3.1923 3.5554 2.5109
Hg 2.0108 1.1851 7.0498
Sb 0.4155 3.5554 6.6574
Sb 4.7876 1.1851 2.9033
P 0.8330 3.5554 1.6656
P 4.3701 1.1851 7.8951
```

The 10 most intense peaks (2θ from 10° to 90°), sorted by position:
2theta	I/Imax
11.41	59
24.55	52
25.00	66
25.17	52
26.48	51
26.62	100
33.23	71
35.96	49
37.96	63
45.98	56

***

Record 6
The following is a computed XRD peak list of NaTl2HgI5. It was derived from a PBE-relaxed structure, using Cu Kα, 1.54184 Å.

```
18
Lattice="2.3166 -10.7657 0.0000 2.3166 10.7657 0.0000 0.0000 0.0000 14.9042" Properties=species:S:1:pos:R:3 pbc="T T T"
Na 2.3166 6.3701 7.4521
Na 2.3166 -6.3701 0.0000
Tl 2.3166 7.8098 11.9239
Tl 2.3166 7.7739 2.2158
Tl 2.3166 -7.7739 9.6679
Tl 2.3166 -7.8098 4.4718
Hg 2.3166 1.2202 13.2892
Hg 2.3166 -1.2202 5.8371
I 2.3166 9.8505 7.5718
I 2.3166 4.3883 2.1816
I 2.3166 4.0164 12.5776
I 2.3166 3.2163 7.1853
I 2.3166 0.2960 3.5199
I 2.3166 -0.2960 10.9720
I 2.3166 -3.2163 14.6374
I 2.3166 -4.0164 5.1255
I 2.3166 -4.3883 9.6337
I 2.3166 -9.8505 0.1197
```

The 10 most intense peaks (2θ from 10° to 90°), sorted by position:
2theta	I/Imax
22.98	18
25.53	49
25.82	37
26.63	100
30.76	28
31.11	24
33.66	30
38.87	30
42.83	24
47.09	19

***

- What is the formula in the second record?
  LiLa4AlO8